Starting from a cell relaxed with PBE, the powder diffraction line list of PaP2 was computed for Cu Kα X-rays.

The 10 most intense peaks (10° ≤ 2θ ≤ 90°), sorted by position:
2θ = 18.7°, 4.754 Å, I 77, hkl 0 0 1; 2θ = 24.3°, 3.667 Å, I 44, hkl 1 0 0; 2θ = 30.8°, 2.903 Å, I 100, hkl 1 0 1; 2θ = 34.6°, 2.593 Å, I 58, hkl 1 1 0; 2θ = 39.6°, 2.276 Å, I 48, hkl 1 1 1; 2θ = 45.5°, 1.995 Å, I 53, hkl 1 0 2; 2θ = 49.7°, 1.833 Å, I 21, hkl 2 0 0; 2θ = 53.6°, 1.711 Å, I 20, hkl 2 0 1; 2θ = 59.6°, 1.550 Å, I 32, hkl 2 1 1; 2θ = 69.7°, 1.350 Å, I 31, hkl 2 1 2

abc: 3.6667 3.6667 4.7541
angles: 90.00 90.00 90.00
Fractional positions:
1 Pa 0.0000 0.0000 0.0000
2 P 0.5000 0.5000 0.2609
3 P 0.5000 0.5000 0.7391

Starting from a cell relaxed with PBE, the powder diffraction line list of Mo4P3 was computed for Cu Kα X-rays.

The 10 most intense peaks (10° ≤ 2θ ≤ 90°), sorted by position:
2θ = 31.4°, 2.846 Å, I 45, hkl 4 0 3; 2θ = 32.0°, 2.797 Å, I 53, hkl 2 1 1; 2θ = 35.9°, 2.505 Å, I 100, hkl 0 1 5; 2θ = 36.3°, 2.475 Å, I 53, hkl 2 1 4; 2θ = 38.3°, 2.350 Å, I 55, hkl 5 0 3; 2θ = 39.8°, 2.263 Å, I 82, hkl 3 1 4; 2θ = 42.0°, 2.152 Å, I 90, hkl 0 1 7; 2θ = 42.1°, 2.147 Å, I 71, hkl 2 0 9; 2θ = 44.4°, 2.042 Å, I 50, hkl 6 0 2; 2θ = 58.3°, 1.582 Å, I 52, hkl 0 2 0

abc: 12.5106 3.1637 20.5681
angles: 90.00 90.00 90.00
Fractional positions:
1 Mo 0.0092 0.2500 0.1723
2 Mo 0.0948 0.2500 0.5334
3 Mo 0.0990 0.7500 0.9727
4 Mo 0.1152 0.7500 0.6475
5 Mo 0.1205 0.2500 0.3108
6 Mo 0.1940 0.2500 0.7736
7 Mo 0.2020 0.7500 0.1135
8 Mo 0.2028 0.7500 0.4160
9 Mo 0.2972 0.2500 0.9160
10 Mo 0.2980 0.2500 0.6135
11 Mo 0.3060 0.7500 0.2736
12 Mo 0.3795 0.7500 0.8108
13 Mo 0.3848 0.2500 0.1475
14 Mo 0.4010 0.2500 0.4727
15 Mo 0.4052 0.7500 0.0334
16 Mo 0.4908 0.7500 0.6723
17 Mo 0.5092 0.2500 0.3277
18 Mo 0.5948 0.2500 0.9666
19 Mo 0.5990 0.7500 0.5273
20 Mo 0.6152 0.7500 0.8525
21 Mo 0.6205 0.2500 0.1892
22 Mo 0.6940 0.2500 0.7264
23 Mo 0.7020 0.7500 0.3865
24 Mo 0.7028 0.7500 0.0840
25 Mo 0.7972 0.2500 0.5840
26 Mo 0.7980 0.2500 0.8865
27 Mo 0.8060 0.7500 0.2264
28 Mo 0.8795 0.7500 0.6892
29 Mo 0.8848 0.2500 0.3525
30 Mo 0.9010 0.2500 0.0273
31 Mo 0.9052 0.7500 0.4666
32 Mo 0.9908 0.7500 0.8277
33 P 0.0165 0.2500 0.7252
34 P 0.0183 0.7500 0.0810
35 P 0.0414 0.2500 0.4192
36 P 0.1786 0.7500 0.8634
37 P 0.1996 0.2500 0.2051
38 P 0.2456 0.2500 0.0277
39 P 0.2544 0.7500 0.5277
40 P 0.3004 0.7500 0.7051
41 P 0.3214 0.2500 0.3634
42 P 0.4586 0.7500 0.9192
43 P 0.4817 0.2500 0.5810
44 P 0.4835 0.7500 0.2252
45 P 0.5165 0.2500 0.7748
46 P 0.5183 0.7500 0.4190
47 P 0.5414 0.2500 0.0808
48 P 0.6786 0.7500 0.6366
49 P 0.6996 0.2500 0.2949
50 P 0.7456 0.2500 0.4723
51 P 0.7544 0.7500 0.9723
52 P 0.8004 0.7500 0.7949
53 P 0.8214 0.2500 0.1366
54 P 0.9586 0.7500 0.5808
55 P 0.9817 0.2500 0.9190
56 P 0.9835 0.7500 0.2748